Diffraction record for Y2CrP. The powder diffractogram is calculated, not measured: it uses a GGA-PBE-relaxed structure and Cu Kα (λ = 1.5418 Å).
No peak broadening, texture or thermal motion is included.

Principal peaks in the range 10 to 90 degrees two-theta, sorted by position:
2θ (°), d (Å), Rel. int.
11.07, 7.996, 212
25.18, 3.536, 199
29.15, 3.064, 328
30.03, 2.976, 411
30.33, 2.947, 616
33.60, 2.667, 315
34.51, 2.599, 1000
38.37, 2.346, 269
46.04, 1.972, 200
47.05, 1.931, 299

Structure:
Unit cell a=6.359 b=6.359 c=9.192 alpha=118.04 beta=118.04 gamma=35.36
Positions (direct):
Y  0.000  0.000  0.000
Y  0.013  0.013  0.603
Y  0.296  0.296  0.074
Y  0.663  0.663  0.399
Cr  0.339  0.339  0.724
Cr  0.740  0.740  0.754
P  0.594  0.594  0.862
P  0.973  0.973  0.278